For NaPaWO6, a DFT-relaxed cell (GGA+U, Alexandria) gives the theoretical XRD peak list in this record (copper Kα).

Structural model:
```
data_NaPaWO6
_chemical_formula_sum 'Na2 Pa2 W2 O12'
_space_group_name_H-M_alt 'P 1'
_space_group_IT_number 1
_cell_length_a 5.634
_cell_length_b 5.634
_cell_length_c 10.048
_cell_angle_alpha 90.00
_cell_angle_beta 90.00
_cell_angle_gamma 120.00
loop_
_space_group_symop_operation_xyz
'x,y,z'
loop_
_atom_site_label
_atom_site_type_symbol
_atom_site_fract_x
_atom_site_fract_y
_atom_site_fract_z
Na1 Na 0.000 0.000 0.000
Na2 Na 0.000 0.000 0.500
Pa1 Pa 0.333 0.667 0.250
Pa2 Pa 0.667 0.333 0.750
W1 W 0.333 0.667 0.750
W2 W 0.667 0.333 0.250
O1 O 0.030 0.389 0.644
O2 O 0.030 0.640 0.856
O3 O 0.360 0.389 0.856
O4 O 0.360 0.970 0.644
O5 O 0.389 0.030 0.144
O6 O 0.389 0.360 0.356
O7 O 0.611 0.640 0.644
O8 O 0.611 0.970 0.856
O9 O 0.640 0.030 0.356
O10 O 0.640 0.611 0.144
O11 O 0.970 0.360 0.144
O12 O 0.970 0.611 0.356
```

Largest 6 diffraction maxima, sorted by position, 15° ≤ 2θ ≤ 90°:
2theta  intensity
17.65  100
18.18  63
25.45  82
31.76  65
36.57  87
48.56  60